[1]
Calculated powder diffraction line list of Pr6CoOs for copper Kα, from a structure optimized by DFT (GGA-PBE).
Intensities are scaled so that the largest is 100.

The 10 most intense peaks (2θ = 10–90°), by intensity:
2θ (°)  intensity
29.81  100
39.16  39
45.96  32
14.95  21
51.56  21
55.75  17
75.04  13
78.27  13
28.71  12
32.52  11

Lattice parameters (Å, degrees): 6.8408 6.8408 6.2181 90.00 90.00 120.00
Fractional positions:
Pr1 0.0000 0.3447 0.2533
Pr2 0.0000 0.6553 0.7467
Pr3 0.3447 0.0000 0.2533
Pr4 0.3447 0.3447 0.7467
Pr5 0.6553 0.0000 0.7467
Pr6 0.6553 0.6553 0.2533
Co1 0.0000 0.0000 0.5000
Os1 0.0000 0.0000 0.0000

=====

[2]
Calculated powder diffraction line list of Tm4MgIn2 for copper Kα, from a structure optimized by DFT (GGA-PBE).
Intensities are scaled so that the largest is 100.

The 10 most intense peaks (2θ = 10–90°), by intensity:
2θ (°)  intensity
31.01  100
31.94  75
37.04  68
35.70  59
33.45  45
29.49  40
26.61  39
12.87  38
41.07  37
30.29  32

Lattice parameters (Å, degrees): 7.4689 6.3897 8.8531 90.00 112.93 90.00
Fractional positions:
Tm1 0.0811 0.2500 0.0509
Tm2 0.1401 0.0039 0.7188
Tm3 0.1401 0.4961 0.7188
Tm4 0.2969 0.7500 0.3268
Tm5 0.7031 0.2500 0.6732
Tm6 0.8599 0.5039 0.2812
Tm7 0.8599 0.9961 0.2812
Tm8 0.9189 0.7500 0.9491
Mg1 0.4867 0.7500 0.7100
Mg2 0.5133 0.2500 0.2900
In1 0.2480 0.2500 0.4504
In2 0.4401 0.7500 0.0383
In3 0.5599 0.2500 0.9617
In4 0.7520 0.7500 0.5496

=====

[3]
Calculated powder diffraction line list of SrRu3O8 for copper Kα, from a structure optimized by DFT (GGA-PBE).
Intensities are scaled so that the largest is 100.

The 10 most intense peaks (2θ = 10–90°), by intensity:
2θ (°)  intensity
14.53  100
32.73  96
44.49  62
23.78  30
35.97  28
48.70  27
29.29  27
58.41  26
34.99  23
59.91  20

Lattice parameters (Å, degrees): 5.4730 5.4730 6.0976 90.00 90.00 120.00
Fractional positions:
Sr1 0.0000 0.0000 0.0000
Ru1 0.0000 0.0000 0.5000
Ru2 0.3333 0.6667 0.5636
Ru3 0.6667 0.3333 0.4364
O1 0.0776 0.3647 0.3585
O2 0.2871 0.9224 0.3585
O3 0.3333 0.6667 0.8544
O4 0.3647 0.2871 0.6415
O5 0.6353 0.7129 0.3585
O6 0.6667 0.3333 0.1456
O7 0.7129 0.0776 0.6415
O8 0.9224 0.6353 0.6415

=====

[4]
Calculated powder diffraction line list of KS4Br for copper Kα, from a structure optimized by DFT (GGA-PBE).
Intensities are scaled so that the largest is 100.

The 10 most intense peaks (2θ = 10–90°), by intensity:
2θ (°)  intensity
24.35  100
20.65  98
26.59  76
33.97  52
17.98  43
32.14  39
34.65  25
41.35  22
31.98  21
19.07  21

Lattice parameters (Å, degrees): 5.6178 5.6178 8.0685 110.84 110.84 64.84
Fractional positions:
K1 0.0000 0.0000 0.0000
S1 0.1152 0.1152 0.6447
S2 0.2829 0.7906 0.4421
S3 0.6871 0.6871 0.4556
S4 0.7906 0.2829 0.4421
Br1 0.6432 0.6432 0.9496

=====

Please write out number 3 again, unchanged.
Calculated powder diffraction line list of SrRu3O8 for copper Kα, from a structure optimized by DFT (GGA-PBE).
Intensities are scaled so that the largest is 100.

The 10 most intense peaks (2θ = 10–90°), by intensity:
2θ (°)  intensity
14.53  100
32.73  96
44.49  62
23.78  30
35.97  28
48.70  27
29.29  27
58.41  26
34.99  23
59.91  20

Lattice parameters (Å, degrees): 5.4730 5.4730 6.0976 90.00 90.00 120.00
Fractional positions:
Sr1 0.0000 0.0000 0.0000
Ru1 0.0000 0.0000 0.5000
Ru2 0.3333 0.6667 0.5636
Ru3 0.6667 0.3333 0.4364
O1 0.0776 0.3647 0.3585
O2 0.2871 0.9224 0.3585
O3 0.3333 0.6667 0.8544
O4 0.3647 0.2871 0.6415
O5 0.6353 0.7129 0.3585
O6 0.6667 0.3333 0.1456
O7 0.7129 0.0776 0.6415
O8 0.9224 0.6353 0.6415